No. 1
The following is a computed powder diffraction line list of TiCoSn. It was derived from a structure optimized by DFT (GGA-PBE), using Cu Ka.

Peak list (8 most intense, 5 to 70 degrees two-theta, by intensity)
2θ (°)  I/Imax
41.71  100
29.16  46
25.19  27
68.52  17
60.47  16
49.35  14
51.71  13
66.56  6

Structural model:
Cell: 4.330 4.330 4.330 Å, 60.00 60.00 60.00°
Sites, in units of the cell vectors:
Ti 0.000 0.000 0.000
Co 0.250 0.250 0.250
Sn 0.750 0.750 0.750

***

No. 2
The following is a computed powder diffraction line list of AgCO2. It was derived from a structure optimized by DFT (GGA-PBE), using Cu Ka.

Peak list (12 most intense, 5 to 70 degrees two-theta, by intensity)
2θ (°)  I/Imax
27.79  100
31.17  83
15.71  78
38.99  53
25.31  46
33.38  36
37.94  33
39.58  30
48.41  27
38.18  25
40.55  20
45.30  19

Structural model:
Cell: 3.250 7.039 9.546 Å, 90.00 99.01 90.00°
Sites, in units of the cell vectors:
Ag 0.046 0.001 0.350
Ag 0.046 0.499 0.850
Ag 0.954 0.501 0.150
Ag 0.954 0.999 0.650
C 0.014 0.611 0.499
C 0.014 0.889 0.999
C 0.986 0.111 0.001
C 0.986 0.389 0.501
O 0.083 0.190 0.121
O 0.083 0.310 0.621
O 0.132 0.692 0.617
O 0.132 0.808 0.117
O 0.868 0.192 0.883
O 0.868 0.308 0.383
O 0.917 0.690 0.379
O 0.917 0.810 0.879

***

No. 3
The following is a computed powder diffraction line list of Mg2Zn11. It was derived from a structure optimized by DFT (GGA-PBE), using Cu Ka.

Peak list (12 most intense, 5 to 70 degrees two-theta, by intensity)
2θ (°)  I/Imax
43.65  100
39.43  52
42.28  44
36.40  21
14.65  19
23.26  19
67.53  17
37.94  16
44.98  15
47.56  15
31.39  8
65.50  7

Structural model:
Cell: 8.551 8.551 8.551 Å, 90.00 90.00 90.00°
Sites, in units of the cell vectors:
Mg 0.000 0.198 0.500
Mg 0.000 0.802 0.500
Mg 0.198 0.500 0.000
Mg 0.500 0.000 0.198
Mg 0.500 0.000 0.802
Mg 0.802 0.500 0.000
Zn 0.000 0.000 0.000
Zn 0.000 0.265 0.158
Zn 0.000 0.265 0.842
Zn 0.000 0.500 0.340
Zn 0.000 0.500 0.660
Zn 0.000 0.735 0.158
Zn 0.000 0.735 0.842
Zn 0.158 0.000 0.265
Zn 0.158 0.000 0.735
Zn 0.265 0.158 0.000
Zn 0.265 0.842 0.000
Zn 0.270 0.500 0.500
Zn 0.282 0.282 0.282
Zn 0.282 0.282 0.718
Zn 0.282 0.718 0.282
Zn 0.282 0.718 0.718
Zn 0.340 0.000 0.500
Zn 0.500 0.270 0.500
Zn 0.500 0.340 0.000
Zn 0.500 0.500 0.270
Zn 0.500 0.500 0.730
Zn 0.500 0.660 0.000
Zn 0.500 0.730 0.500
Zn 0.660 0.000 0.500
Zn 0.718 0.282 0.282
Zn 0.718 0.282 0.718
Zn 0.718 0.718 0.282
Zn 0.718 0.718 0.718
Zn 0.730 0.500 0.500
Zn 0.735 0.158 0.000
Zn 0.735 0.842 0.000
Zn 0.842 0.000 0.265
Zn 0.842 0.000 0.735